[1]
Diffraction record for Ho4Ga5Ge6. The X-ray powder pattern is computed, not measured: it uses a cell relaxed with PBE and λ = 1.5418 Å (Cu Kα).
Peak positions follow from Bragg's law for the DFT cell and can differ from measured ones.

Structural model:
```
Ho4Ga5Ge6
1.0
2.040 -9.514 0.000
2.040 9.514 0.000
0.000 0.000 16.541
Ho Ga Ge
8 10 12
Cartesian
2.040 9.130 8.270
2.040 8.506 12.988
2.040 6.414 5.027
2.040 5.900 16.045
2.040 -5.900 7.775
2.040 -6.414 13.297
2.040 -8.506 4.718
2.040 -9.130 0.000
2.040 6.998 10.541
2.040 3.818 10.381
2.040 3.406 5.509
2.040 2.941 15.477
2.040 1.190 11.728
2.040 -1.190 3.458
2.040 -2.941 7.207
2.040 -3.406 13.780
2.040 -3.818 2.110
2.040 -6.998 2.271
2.040 7.433 2.070
2.040 5.784 8.378
2.040 5.356 12.540
2.040 1.510 7.084
2.040 0.965 2.195
2.040 0.851 14.226
2.040 -0.851 5.955
2.040 -0.965 10.466
2.040 -1.510 15.354
2.040 -5.356 4.270
2.040 -5.784 0.108
2.040 -7.433 10.341
```

Largest 10 diffraction maxima, low angle first, 2θ = 10–80°:
Position (°2θ)  intensity
30.7  393
31.2  700
32.5  418
32.6  322
34.0  323
36.2  1000
39.0  597
39.7  264
42.7  269
44.4  576

[2]
Diffraction record for Ho2InGaGe. The X-ray powder pattern is computed, not measured: it uses a cell relaxed with PBE and λ = 1.5418 Å (Cu Kα).
Peak positions follow from Bragg's law for the DFT cell and can differ from measured ones.

Structural model:
```
Ho2InGaGe
1.0
4.283 0.000 0.000
0.000 8.790 0.000
0.000 0.000 6.120
Ho In Ga Ge
4 2 2 2
Cartesian
1.071 0.337 1.517
1.071 4.058 1.517
3.212 4.732 4.603
3.212 8.453 4.603
1.071 2.197 4.513
3.212 6.592 1.608
1.071 6.592 3.338
3.212 2.197 2.782
1.071 6.592 5.831
3.212 2.197 0.290
```

Largest 10 diffraction maxima, low angle first, 2θ = 10–80°:
Position (°2θ)  intensity
25.4  129
29.2  167
32.7  1000
33.9  188
35.8  172
37.5  345
41.1  135
42.2  215
64.9  200
71.1  133

[3]
Diffraction record for Ho2Ga3GeIr4. The X-ray powder pattern is computed, not measured: it uses a cell relaxed with PBE and λ = 1.5418 Å (Cu Kα).
Peak positions follow from Bragg's law for the DFT cell and can differ from measured ones.

Structural model:
```
Ho2Ga3GeIr4
1.0
4.270 0.000 0.000
0.000 4.270 0.000
0.000 0.000 10.041
Ho Ga Ge Ir
2 3 1 4
Cartesian
0.000 2.135 2.337
2.135 0.000 7.703
0.000 2.135 8.748
2.135 0.000 1.293
2.135 2.135 5.020
0.000 0.000 5.020
0.000 0.000 0.000
0.000 2.135 6.309
2.135 0.000 3.731
2.135 2.135 0.000
```

Largest 10 diffraction maxima, low angle first, 2θ = 10–80°:
Position (°2θ)  intensity
27.4  218
30.9  222
34.0  597
34.7  1000
42.3  727
47.1  322
50.2  222
55.4  299
61.4  242
72.5  236

[4]
Diffraction record for Ho3Mn3Ga2Ge. The X-ray powder pattern is computed, not measured: it uses a cell relaxed with PBE and λ = 1.5418 Å (Cu Kα).
Peak positions follow from Bragg's law for the DFT cell and can differ from measured ones.

Structural model:
```
Ho3Mn3Ga2Ge
1.0
7.005 0.000 0.000
-3.502 6.066 0.000
0.000 0.000 4.112
Ho Mn Ga Ge
3 3 2 1
Cartesian
-2.032 4.546 0.000
0.582 2.033 0.000
1.451 5.553 0.000
2.708 0.598 2.056
2.666 3.422 2.056
5.133 2.046 2.056
0.000 0.000 2.056
3.502 2.022 0.000
0.000 4.044 2.056
```

Largest 10 diffraction maxima, low angle first, 2θ = 10–80°:
Position (°2θ)  intensity
25.4  191
29.4  238
33.6  993
36.8  1000
39.3  400
44.0  277
54.5  192
59.4  326
60.5  217
71.6  189

[5]
Diffraction record for Ho4GaGeN. The X-ray powder pattern is computed, not measured: it uses a cell relaxed with PBE and λ = 1.5418 Å (Cu Kα).
Peak positions follow from Bragg's law for the DFT cell and can differ from measured ones.

Structural model:
```
Ho4GaGeN
1.0
3.240 -7.634 0.000
3.240 7.634 0.000
0.000 0.000 6.479
Ho Ga Ge N
8 2 2 2
Cartesian
1.620 3.817 0.000
1.620 3.817 3.239
3.240 6.397 4.859
3.240 1.251 4.859
1.620 -3.817 0.000
1.620 -3.817 3.239
3.240 -1.251 1.620
3.240 -6.397 1.620
3.240 5.902 1.620
3.240 -5.902 4.859
3.240 1.715 1.620
3.240 -1.715 4.859
3.240 3.792 4.859
3.240 -3.792 1.620
```

Largest 10 diffraction maxima, low angle first, 2θ = 10–80°:
Position (°2θ)  intensity
11.6  202
30.0  1000
35.3  503
36.4  863
39.3  630
53.9  501
56.8  214
65.6  219
68.7  217
69.4  263

[6]
Diffraction record for HoGaNi2Ge2. The X-ray powder pattern is computed, not measured: it uses a cell relaxed with PBE and λ = 1.5418 Å (Cu Kα).
Peak positions follow from Bragg's law for the DFT cell and can differ from measured ones.

Structural model:
```
HoGaNi2Ge2
1.0
4.363 0.000 0.000
0.000 4.363 0.000
0.000 0.000 5.538
Ho Ga Ni Ge
1 1 2 2
Cartesian
0.000 0.000 0.000
0.000 0.000 2.769
0.000 2.181 2.769
2.181 0.000 2.769
2.181 2.181 1.304
2.181 2.181 4.233
```

Largest 10 diffraction maxima, low angle first, 2θ = 10–80°:
Position (°2θ)  intensity
20.4  121
28.9  474
32.3  130
33.2  551
38.5  1000
41.4  737
53.5  121
57.8  604
60.0  240
73.6  146

[7]
Diffraction record for Ga2GeI6. The X-ray powder pattern is computed, not measured: it uses a cell relaxed with PBE and λ = 1.5418 Å (Cu Kα).
Peak positions follow from Bragg's law for the DFT cell and can differ from measured ones.

Structural model:
```
Ga2GeI6
1.0
7.404 -7.131 0.000
7.404 7.131 0.000
-3.950 0.000 8.514
Ga Ge I
4 2 12
Cartesian
1.801 1.246 2.247
-0.174 -1.246 6.503
11.032 1.246 2.010
9.057 -1.246 6.267
4.441 1.429 6.385
6.416 -1.429 2.128
-1.772 0.083 8.273
2.240 3.107 6.606
0.203 -0.083 4.017
4.320 1.403 3.287
6.643 3.107 6.165
2.346 -1.403 7.544
8.512 1.403 0.969
4.215 -3.107 2.349
6.537 -1.403 5.226
10.655 0.083 4.497
8.618 -3.107 1.908
12.630 -0.083 0.240
```

Largest 10 diffraction maxima, low angle first, 2θ = 10–80°:
Position (°2θ)  intensity
11.5  1000
17.9  849
19.8  919
20.8  676
24.4  745
25.2  768
26.1  554
26.5  743
27.1  649
35.0  574

[8]
Diffraction record for Ga2GeI6. The X-ray powder pattern is computed, not measured: it uses a cell relaxed with PBE and λ = 1.5418 Å (Cu Kα).
Peak positions follow from Bragg's law for the DFT cell and can differ from measured ones.

Structural model:
```
Ga2GeI6
1.0
3.761 2.172 8.313
-3.761 2.172 8.313
0.000 -4.343 8.313
Ga Ge I
2 1 6
Cartesian
0.000 0.000 0.000
0.000 0.000 2.401
0.000 0.000 9.512
-1.032 -2.068 7.448
-2.306 0.139 11.576
-1.275 1.928 7.448
1.033 -2.067 11.576
2.307 0.140 7.448
1.273 1.928 11.576
```

Largest 10 diffraction maxima, low angle first, 2θ = 10–80°:
Position (°2θ)  intensity
10.6  95
14.0  157
21.4  330
26.0  1000
32.1  223
40.4  286
41.6  263
47.2  179
49.7  131
60.9  84

[9]
Diffraction record for GaGeI. The X-ray powder pattern is computed, not measured: it uses a cell relaxed with PBE and λ = 1.5418 Å (Cu Kα).
Peak positions follow from Bragg's law for the DFT cell and can differ from measured ones.

Structural model:
```
GaGeI
1.0
4.355 0.000 0.000
1.457 4.491 0.000
0.543 0.373 10.370
Ga Ge I
2 2 2
Cartesian
0.000 0.000 0.000
2.382 2.279 7.376
2.725 0.610 9.203
4.533 3.422 7.362
2.755 0.568 5.165
5.170 2.389 1.712
```

Largest 10 diffraction maxima, low angle first, 2θ = 10–80°:
Position (°2θ)  intensity
22.8  711
23.4  475
24.4  620
25.8  1000
26.7  916
34.6  445
40.2  209
42.8  339
43.0  267
44.1  362

[10]
Diffraction record for In12Ga6Ge. The X-ray powder pattern is computed, not measured: it uses a cell relaxed with PBE and λ = 1.5418 Å (Cu Kα).
Peak positions follow from Bragg's law for the DFT cell and can differ from measured ones.

Structural model:
```
In12Ga6Ge
1.0
5.419 3.129 4.624
-5.419 3.129 4.624
0.000 -6.258 4.624
In Ga Ge
12 6 1
Cartesian
-1.502 -4.854 5.861
-4.954 -1.126 8.009
-1.177 -1.474 4.330
-3.452 3.728 5.861
-0.688 1.757 4.330
1.865 -0.283 4.330
-1.865 0.283 9.541
0.688 -1.757 9.541
3.452 -3.728 8.009
1.177 1.474 9.541
4.954 1.126 5.861
1.502 4.854 8.009
-2.057 -2.019 7.393
-2.777 0.771 6.478
0.721 -2.791 6.478
-0.721 2.791 7.393
2.777 -0.771 7.393
2.057 2.019 6.478
0.000 0.000 6.935
```

Largest 10 diffraction maxima, low angle first, 2θ = 10–80°:
Position (°2θ)  intensity
25.9  295
28.5  178
33.7  643
34.6  566
35.1  1000
36.2  765
36.9  503
38.5  197
60.4  265
65.3  173